Diffraction record for Sm4Ho11Er9. The X-ray diffraction stick pattern is simulated, not measured: it uses DFT lattice parameters and positions (GGA-PBE) and Cu Kα.
Neutral-atom scattering factors, no anomalous dispersion.

Principal peaks in the range 2θ from 15° to 90°, by angle:
29.00°, intensity 8, (5 3 0); 30.33°, intensity 17, (2 4 1); 30.46°, intensity 53, (4 6 0); 30.64°, intensity 7, (2 8 0); 30.80°, intensity 8, (1 5 1); 31.25°, intensity 16, (3 3 1); 32.65°, intensity 100, (4 0 1); 32.76°, intensity 12, (1 9 0); 33.22°, intensity 8, (6 2 0); 49.90°, intensity 13, (0 0 2); 55.63°, intensity 9, (6 10 1); 59.60°, intensity 16, (4 6 2)

Atomic structure:
abc: 16.5710 24.9430 3.6550
angles: 90.00 90.00 90.00
Space group Cmmm (No. 65)
Inequivalent atoms, fractional coordinates:
Sm 0.1547 0.1005 0.0000 x8
Ho 0.0000 0.1345 0.5000 x4
Ho 0.0000 0.3405 0.5000 x4
Ho 0.0000 0.5000 0.5000 x2
Ho 0.2113 0.0000 0.5000 x4
Ho 0.2257 0.3187 0.5000 x8
Er 0.0000 0.0000 0.0000 x2
Er 0.1018 0.2352 0.0000 x8
Er 0.1394 0.4272 0.0000 x8